Diffraction record for In2Hg6Bi. The powder X-ray diffraction pattern is computed, not measured: it uses a crystal structure in Alexandria, relaxed with PBE and Cu Kα (weighted mean of Kα1 and Kα2).
Intensities are scaled so that the largest is 100.

Main lines, in order of rising 2θ (2θ from 5° to 70°):
2θ/deg  d_spacing  Rel. int.
30.69  2.913  60
31.93  2.803  61
33.90  2.645  97
35.59  2.523  100
44.88  2.020  43
54.56  1.682  42
60.41  1.532  25
64.63  1.442  50

Structure:
```
data_In2Hg6Bi
_cell_length_a 3.364
_cell_length_b 3.364
_cell_length_c 25.226
_cell_angle_alpha 90.00
_cell_angle_beta 90.00
_cell_angle_gamma 120.00
_symmetry_space_group_name_H-M 'P 1'
_symmetry_Int_Tables_number 1
_symmetry_space_group_name_Hall 'P 1'
loop_
_atom_site_label
_atom_site_fract_x
_atom_site_fract_y
_atom_site_fract_z
In1 0.000 0.000 0.169
In2 0.000 0.000 0.831
Hg1 0.000 0.000 0.385
Hg2 0.000 0.000 0.615
Hg3 0.333 0.667 0.059
Hg4 0.333 0.667 0.279
Hg5 0.333 0.667 0.721
Hg6 0.333 0.667 0.941
Bi1 0.333 0.667 0.500
```